(1)
For CoOsNO, the PBE+U geometry in OQMD gives the simulated powder XRD pattern in this record (Cu Kα (λ = 1.5418 Å)).

Cell and atoms:
```
data_CoOsNO
_chemical_formula_sum 'Co2 Os2 N2 O2'
_space_group_name_H-M_alt 'P m c 21'
_space_group_IT_number 26
_cell_length_a 2.8703
_cell_length_b 5.8978
_cell_length_c 5.2048
_cell_angle_alpha 90.00
_cell_angle_beta 90.00
_cell_angle_gamma 90.00
loop_
_space_group_symop_operation_xyz
'x,y,z'
'-x,-y,z+1/2'
'-x,y,z'
'x,-y,z+1/2'
loop_
_atom_site_label
_atom_site_type_symbol
_atom_site_fract_x
_atom_site_fract_y
_atom_site_fract_z
Co1 Co 0.0000 0.1543 0.0000
Os1 Os 0.5000 0.4100 0.4639
N1 N 0.5000 0.2892 0.8172
O1 O 0.0000 0.1623 0.3802
```

Peak list (6 most intense, 2θ from 5° to 70°, in order of falling intensity)
d [Å]	2theta	I_rel
5.898	15.02	100
2.566	34.97	87
2.581	34.76	84
2.602	34.46	63
1.833	49.76	54
2.312	38.95	52

=====

(2)
For CoPbNO, the PBE+U geometry in OQMD gives the simulated powder XRD pattern in this record (Cu Kα (λ = 1.5418 Å)).

Cell and atoms:
```
data_CoPbNO
_chemical_formula_sum 'Co2 Pb2 N2 O2'
_space_group_name_H-M_alt 'P m c 21'
_space_group_IT_number 26
_cell_length_a 3.5724
_cell_length_b 6.0671
_cell_length_c 5.6389
_cell_angle_alpha 90.00
_cell_angle_beta 90.00
_cell_angle_gamma 90.00
loop_
_space_group_symop_operation_xyz
'x,y,z'
'-x,-y,z+1/2'
'-x,y,z'
'x,-y,z+1/2'
loop_
_atom_site_label
_atom_site_type_symbol
_atom_site_fract_x
_atom_site_fract_y
_atom_site_fract_z
Co1 Co 0.0000 0.1698 0.0000
Pb1 Pb 0.5000 0.3252 0.5100
N1 N 0.5000 0.2938 0.9230
O1 O 0.0000 0.1326 0.3569
```

Peak list (6 most intense, 2θ from 5° to 70°, in order of falling intensity)
d [Å]	2theta	I_rel
2.702	33.16	100
4.130	21.51	44
2.819	31.74	43
2.671	33.54	42
3.078	29.01	29
1.604	57.44	26

=====

(3)
For CoSbNO, the PBE+U geometry in OQMD gives the simulated powder XRD pattern in this record (Cu Kα (λ = 1.5418 Å)).

Cell and atoms:
```
data_CoSbNO
_chemical_formula_sum 'Co4 Sb4 N4 O4'
_space_group_name_H-M_alt 'P c a 21'
_space_group_IT_number 29
_cell_length_a 5.7997
_cell_length_b 8.2148
_cell_length_c 5.2146
_cell_angle_alpha 90.00
_cell_angle_beta 90.00
_cell_angle_gamma 90.00
loop_
_space_group_symop_operation_xyz
'x,y,z'
'-x,-y,z+1/2'
'-x+1/2,y,z+1/2'
'x+1/2,-y,z'
loop_
_atom_site_label
_atom_site_type_symbol
_atom_site_fract_x
_atom_site_fract_y
_atom_site_fract_z
Co1 Co 0.0796 0.0829 0.0000
Sb1 Sb 0.0461 0.6748 0.0234
N1 N 0.0942 0.1127 0.6163
O1 O 0.1288 0.7329 0.6513
```

Peak list (6 most intense, 2θ from 5° to 70°, in order of falling intensity)
d [Å]	2theta	I_rel
2.820	31.73	100
3.507	25.40	58
2.607	34.40	41
2.900	30.83	31
2.534	35.42	22
3.352	26.59	20

=====

(4)
For CoSnNO, the PBE+U geometry in OQMD gives the simulated powder XRD pattern in this record (Cu Kα (λ = 1.5418 Å)).

Cell and atoms:
```
data_CoSnNO
_chemical_formula_sum 'Co4 Sn4 N4 O4'
_space_group_name_H-M_alt 'P c a 21'
_space_group_IT_number 29
_cell_length_a 5.4935
_cell_length_b 8.3935
_cell_length_c 5.0205
_cell_angle_alpha 90.00
_cell_angle_beta 90.00
_cell_angle_gamma 90.00
loop_
_space_group_symop_operation_xyz
'x,y,z'
'-x,-y,z+1/2'
'-x+1/2,y,z+1/2'
'x+1/2,-y,z'
loop_
_atom_site_label
_atom_site_type_symbol
_atom_site_fract_x
_atom_site_fract_y
_atom_site_fract_z
Co1 Co 0.0636 0.0796 0.0000
Sn1 Sn 0.0293 0.6638 0.0150
N1 N 0.1104 0.0986 0.6247
O1 O 0.1108 0.7338 0.6188
```

Peak list (6 most intense, 2θ from 5° to 70°, in order of falling intensity)
d [Å]	2theta	I_rel
2.778	32.22	100
3.390	26.29	38
2.510	35.77	33
2.747	32.60	31
2.798	31.99	20
1.853	49.17	18

=====

(5)
For Sr2Co2NO5, the PBE+U geometry in OQMD gives the simulated powder XRD pattern in this record (Cu Kα (λ = 1.5418 Å)).

Cell and atoms:
```
data_Sr2Co2NO5
_chemical_formula_sum 'Sr2 Co2 N1 O5'
_space_group_name_H-M_alt 'P 4/m m m'
_space_group_IT_number 123
_space_group_name_Hall '-P 4 2'
_cell_length_a 3.8648
_cell_length_b 3.8648
_cell_length_c 7.5048
_cell_angle_alpha 90.00
_cell_angle_beta 90.00
_cell_angle_gamma 90.00
loop_
_atom_site_label
_atom_site_type_symbol
_atom_site_fract_x
_atom_site_fract_y
_atom_site_fract_z
Sr1 Sr 0.0000 0.0000 0.0000
Sr2 Sr 0.0000 0.0000 0.5000
Co1 Co 0.5000 0.5000 0.2417
N1 N 0.5000 0.5000 0.0000
O1 O 0.0000 0.5000 0.2457
O2 O 0.5000 0.5000 0.5000
```

Peak list (6 most intense, 2θ from 5° to 70°, in order of falling intensity)
d [Å]	2theta	I_rel
2.692	33.28	100
2.733	32.77	50
1.570	58.82	38
1.932	47.02	38
1.346	69.88	20
1.547	59.79	17

=====

(6)
For TbCoNO, the PBE+U geometry in OQMD gives the simulated powder XRD pattern in this record (Cu Kα (λ = 1.5418 Å)).

Cell and atoms:
```
data_TbCoNO
_chemical_formula_sum 'Tb4 Co4 N4 O4'
_space_group_name_H-M_alt 'P c a 21'
_space_group_IT_number 29
_cell_length_a 5.4685
_cell_length_b 7.4555
_cell_length_c 5.4774
_cell_angle_alpha 90.00
_cell_angle_beta 90.00
_cell_angle_gamma 90.00
loop_
_space_group_symop_operation_xyz
'x,y,z'
'-x,-y,z+1/2'
'-x+1/2,y,z+1/2'
'x+1/2,-y,z'
loop_
_atom_site_label
_atom_site_type_symbol
_atom_site_fract_x
_atom_site_fract_y
_atom_site_fract_z
Tb1 Tb 0.0347 0.1467 0.0000
Co1 Co 0.0808 0.4688 0.6196
N1 N 0.1349 0.3766 0.2960
O1 O 0.2475 0.9704 0.2433
```

Peak list (6 most intense, 2θ from 5° to 70°, in order of falling intensity)
d [Å]	2theta	I_rel
2.685	33.37	100
3.435	25.94	88
2.736	32.73	43
1.840	49.55	37
1.686	54.41	25
1.570	58.82	23

=====

(7)
For CoTeNO, the PBE+U geometry in OQMD gives the simulated powder XRD pattern in this record (Cu Kα (λ = 1.5418 Å)).

Cell and atoms:
```
data_CoTeNO
_chemical_formula_sum 'Co2 Te2 N2 O2'
_space_group_name_H-M_alt 'P m c 21'
_space_group_IT_number 26
_cell_length_a 3.2105
_cell_length_b 6.7672
_cell_length_c 5.2098
_cell_angle_alpha 90.00
_cell_angle_beta 90.00
_cell_angle_gamma 90.00
loop_
_space_group_symop_operation_xyz
'x,y,z'
'-x,-y,z+1/2'
'-x,y,z'
'x,-y,z+1/2'
loop_
_atom_site_label
_atom_site_type_symbol
_atom_site_fract_x
_atom_site_fract_y
_atom_site_fract_z
Co1 Co 0.0000 0.0940 0.0000
Te1 Te 0.5000 0.3617 0.5014
N1 N 0.0000 0.1798 0.3676
O1 O 0.5000 0.1905 0.8175
```

Peak list (6 most intense, 2θ from 5° to 70°, in order of falling intensity)
d [Å]	2theta	I_rel
2.838	31.53	100
2.534	35.42	64
2.901	30.83	58
2.605	34.43	39
1.938	46.88	37
4.128	21.53	32

=====

(8)
For CoTeNO, the PBE+U geometry in OQMD gives the simulated powder XRD pattern in this record (Cu Kα (λ = 1.5418 Å)).

Cell and atoms:
```
data_CoTeNO
_chemical_formula_sum 'Co4 Te4 N4 O4'
_space_group_name_H-M_alt 'P c a 21'
_space_group_IT_number 29
_cell_length_a 6.4289
_cell_length_b 7.4489
_cell_length_c 5.2185
_cell_angle_alpha 90.00
_cell_angle_beta 90.00
_cell_angle_gamma 90.00
loop_
_space_group_symop_operation_xyz
'x,y,z'
'-x,-y,z+1/2'
'-x+1/2,y,z+1/2'
'x+1/2,-y,z'
loop_
_atom_site_label
_atom_site_type_symbol
_atom_site_fract_x
_atom_site_fract_y
_atom_site_fract_z
Co1 Co 0.1276 0.0879 0.0000
Te1 Te 0.0678 0.6964 0.9917
N1 N 0.0780 0.0869 0.6200
O1 O 0.0631 0.3230 0.1579
```

Peak list (6 most intense, 2θ from 5° to 70°, in order of falling intensity)
d [Å]	2theta	I_rel
2.739	32.69	100
3.559	25.02	62
3.219	27.72	38
2.609	34.37	34
1.530	60.50	21
2.117	42.71	20